No. 1
The following is a computed PXRD pattern of In6Co7. It was derived from DFT lattice parameters and positions (PBE), using Cu Ka.

Structure:
```
data_In6Co7
_cell_length_a 5.1590
_cell_length_b 5.1590
_cell_length_c 26.7560
_cell_angle_alpha 90.00
_cell_angle_beta 90.00
_cell_angle_gamma 120.00
_symmetry_space_group_name_H-M 'R -3 m'
_symmetry_Int_Tables_number 166
_symmetry_space_group_name_Hall '-R 3 2"'
loop_
_atom_site_label
_atom_site_type_symbol
_atom_site_fract_x
_atom_site_fract_y
_atom_site_fract_z
In1 In 0.0000 0.0000 0.0533
In2 In 0.0000 0.0000 0.1574
In3 In 0.0000 0.0000 0.3336
Co1 Co 0.0000 0.0000 0.5000
Co2 Co 0.0001 0.5001 0.0906
```

Top 10 peaks for 10 to 90 degrees two-theta, sorted by position:
(hkl)  Position (°2θ)  Rel. int.
1 1 0  34.8  876
1 0 10  39.2  550
0 0 12  40.4  1000
0 2 1  40.5  326
0 1 11  42.3  341
0 2 4  42.7  196
2 0 5  43.9  276
2 1 10  65.3  232
2 2 0  73.4  285
1 1 18  73.5  274

=====

No. 2
The following is a computed PXRD pattern of PrGe2PdPt2. It was derived from DFT lattice parameters and positions (PBE), using Cu Ka.

Structure:
```
data_PrGe2PdPt2
_cell_length_a 4.1184
_cell_length_b 4.1184
_cell_length_c 15.4374
_cell_angle_alpha 90.00
_cell_angle_beta 90.00
_cell_angle_gamma 90.00
_symmetry_space_group_name_H-M 'I 4/m m m'
_symmetry_Int_Tables_number 139
_symmetry_space_group_name_Hall '-I 4 2'
loop_
_atom_site_label
_atom_site_type_symbol
_atom_site_fract_x
_atom_site_fract_y
_atom_site_fract_z
Pr1 Pr 0.0000 0.0000 0.0000
Ge1 Ge 0.0000 0.0000 0.3442
Pd1 Pd 0.0000 0.0000 0.5000
Pt1 Pt 0.0000 0.5000 0.2500
```

Top 10 peaks for 10 to 90 degrees two-theta, sorted by position:
(hkl)  Position (°2θ)  Rel. int.
0 0 2  11.5  301
0 0 4  23.0  509
1 1 2  32.9  1000
2 0 0  44.0  416
1 1 6  47.1  771
2 0 4  50.2  256
2 0 8  66.4  162
2 2 4  68.9  188
3 1 2  73.8  196
3 1 6  83.1  344

=====

No. 3
The following is a computed PXRD pattern of Ho5Bi. It was derived from DFT lattice parameters and positions (PBE), using Cu Ka.

Structure:
```
data_Ho5Bi
_cell_length_a 4.8319
_cell_length_b 14.9305
_cell_length_c 4.9038
_cell_angle_alpha 90.00
_cell_angle_beta 90.00
_cell_angle_gamma 90.00
_symmetry_space_group_name_H-M 'C m m m'
_symmetry_Int_Tables_number 65
_symmetry_space_group_name_Hall '-C 2 2'
loop_
_atom_site_label
_atom_site_type_symbol
_atom_site_fract_x
_atom_site_fract_y
_atom_site_fract_z
Ho1 Ho 0.0000 0.0000 0.0000
Ho2 Ho 0.0000 0.1639 0.5000
Ho3 Ho 0.0000 0.3296 0.0000
Bi1 Bi 0.0000 0.5000 0.5000
```

Top 10 peaks for 10 to 90 degrees two-theta, sorted by position:
(hkl)  Position (°2θ)  Rel. int.
1 3 1  31.6  1000
0 6 0  36.1  175
0 0 2  36.7  169
2 0 0  37.2  162
0 6 2  52.4  124
2 6 0  52.8  119
1 9 1  62.1  145
1 3 3  62.9  142
3 3 1  63.6  137
2 6 2  66.0  124

=====

No. 4
The following is a computed PXRD pattern of Nd12ErIn3. It was derived from DFT lattice parameters and positions (PBE), using Cu Ka.

Structure:
```
data_Nd12ErIn3
_cell_length_a 5.0006
_cell_length_b 5.0006
_cell_length_c 20.3507
_cell_angle_alpha 90.00
_cell_angle_beta 90.00
_cell_angle_gamma 90.00
_symmetry_space_group_name_H-M 'P 4/m m m'
_symmetry_Int_Tables_number 123
_symmetry_space_group_name_Hall '-P 4 2'
loop_
_atom_site_label
_atom_site_type_symbol
_atom_site_fract_x
_atom_site_fract_y
_atom_site_fract_z
Nd1 Nd 0.0000 0.0000 0.0000
Nd2 Nd 0.0000 0.0000 0.2462
Nd3 Nd 0.0000 0.0000 0.5000
Nd4 Nd 0.0000 0.5000 0.1233
Nd5 Nd 0.0000 0.5000 0.3696
Er1 Er 0.5000 0.5000 0.5000
In1 In 0.5000 0.5000 0.0000
In2 In 0.5000 0.5000 0.2446
```

Top 10 peaks for 10 to 90 degrees two-theta, sorted by position:
(hkl)  Position (°2θ)  Rel. int.
1 1 4  30.8  1000
0 0 8  35.3  169
2 0 0  35.9  333
2 0 8  51.2  233
2 2 0  51.7  117
1 1 12  60.6  135
3 1 4  61.4  278
2 2 8  64.1  118
3 1 12  83.6  109
3 3 4  84.3  58

=====

No. 5
The following is a computed PXRD pattern of NdSm2Co. It was derived from DFT lattice parameters and positions (PBE), using Cu Ka.

Structure:
```
data_NdSm2Co
_cell_length_a 7.0641
_cell_length_b 9.7703
_cell_length_c 6.4109
_cell_angle_alpha 90.00
_cell_angle_beta 90.00
_cell_angle_gamma 90.00
_symmetry_space_group_name_H-M 'P n m a'
_symmetry_Int_Tables_number 62
_symmetry_space_group_name_Hall '-P 2ac 2n'
loop_
_atom_site_label
_atom_site_type_symbol
_atom_site_fract_x
_atom_site_fract_y
_atom_site_fract_z
Nd1 Nd 0.0447 0.2500 0.1442
Sm1 Sm 0.1702 0.0696 0.6761
Co1 Co 0.1151 0.7500 0.4382
```

Top 10 peaks for 10 to 90 degrees two-theta, sorted by position:
(hkl)  Position (°2θ)  Rel. int.
2 1 1  30.3  408
1 0 2  30.6  403
0 3 1  30.8  1000
2 2 0  31.2  430
1 1 2  32.0  697
1 3 1  33.4  519
2 2 1  34.3  646
1 2 3  48.2  263
1 3 3  52.9  265
3 3 2  56.1  287

=====

No. 6
The following is a computed PXRD pattern of Te3Os. It was derived from DFT lattice parameters and positions (PBE), using Cu Ka.

Structure:
```
data_Te3Os
_cell_length_a 7.4814
_cell_length_b 3.2267
_cell_length_c 8.5357
_cell_angle_alpha 90.00
_cell_angle_beta 92.40
_cell_angle_gamma 90.00
_symmetry_space_group_name_H-M 'C 1 2/m 1'
_symmetry_Int_Tables_number 12
_symmetry_space_group_name_Hall '-C 2y'
loop_
_atom_site_label
_atom_site_type_symbol
_atom_site_fract_x
_atom_site_fract_y
_atom_site_fract_z
Te1 Te 0.0000 0.0000 0.0000
Te2 Te 0.2116 0.0000 0.6803
Os1 Os 0.0000 0.5000 0.5000
```

Top 10 peaks for 10 to 90 degrees two-theta, sorted by position:
(hkl)  Position (°2θ)  Rel. int.
0 0 1  10.4  750
2 0 -2  31.2  624
1 1 1  32.1  1000
2 0 2  32.5  252
1 1 2  37.2  216
1 1 -3  43.8  310
1 1 3  44.5  151
3 1 -1  46.9  414
2 2 -2  66.5  141
5 1 3  79.4  140

=====

No. 7
The following is a computed PXRD pattern of BaInAg2Pt. It was derived from DFT lattice parameters and positions (PBE), using Cu Ka.

Structure:
```
data_BaInAg2Pt
_cell_length_a 6.1280
_cell_length_b 6.1280
_cell_length_c 5.5077
_cell_angle_alpha 90.00
_cell_angle_beta 90.00
_cell_angle_gamma 90.00
_symmetry_space_group_name_H-M 'P 4/m m m'
_symmetry_Int_Tables_number 123
_symmetry_space_group_name_Hall '-P 4 2'
loop_
_atom_site_label
_atom_site_type_symbol
_atom_site_fract_x
_atom_site_fract_y
_atom_site_fract_z
Ba1 Ba 0.0000 0.0000 0.0000
In1 In 0.5000 0.5000 0.5000
Ag1 Ag 0.0000 0.5000 0.0000
Pt1 Pt 0.0000 0.0000 0.5000
```

Top 10 peaks for 10 to 90 degrees two-theta, sorted by position:
(hkl)  Position (°2θ)  Rel. int.
1 0 0  14.5  493
1 1 0  20.5  241
1 1 1  26.2  960
2 0 0  29.1  1000
0 0 2  32.5  375
2 2 0  41.7  376
2 0 2  44.2  633
3 1 1  49.9  323
2 2 2  53.8  350
4 2 2  77.9  254

=====

No. 8
The following is a computed PXRD pattern of LiAlW. It was derived from DFT lattice parameters and positions (PBE), using Cu Ka.

Structure:
```
data_LiAlW
_cell_length_a 4.5729
_cell_length_b 8.5142
_cell_length_c 4.7256
_cell_angle_alpha 90.00
_cell_angle_beta 90.00
_cell_angle_gamma 90.00
_symmetry_space_group_name_H-M 'C m m m'
_symmetry_Int_Tables_number 65
_symmetry_space_group_name_Hall '-C 2 2'
loop_
_atom_site_label
_atom_site_type_symbol
_atom_site_fract_x
_atom_site_fract_y
_atom_site_fract_z
Li1 Li 0.0000 0.1799 0.0000
Al1 Al 0.0000 0.0000 0.5000
Al2 Al 0.0000 0.5000 0.0000
W1 W 0.0000 0.3364 0.5000
```

Top 10 peaks for 10 to 90 degrees two-theta, sorted by position:
(hkl)  Position (°2θ)  Rel. int.
0 0 1  18.8  1000
1 1 0  22.1  371
1 1 1  29.1  209
1 3 0  37.3  363
0 0 2  38.1  252
2 0 0  39.4  229
1 3 1  42.1  760
2 0 1  44.0  230
1 3 2  54.4  248
2 0 2  56.0  166

=====

No. 9
The following is a computed PXRD pattern of Pm4NpIr3. It was derived from DFT lattice parameters and positions (PBE), using Cu Ka.

Structure:
```
data_Pm4NpIr3
_cell_length_a 11.3666
_cell_length_b 11.3666
_cell_length_c 5.9284
_cell_angle_alpha 90.00
_cell_angle_beta 90.00
_cell_angle_gamma 90.00
_symmetry_space_group_name_H-M 'I 4/m c m'
_symmetry_Int_Tables_number 140
_symmetry_space_group_name_Hall '-I 4 2c'
loop_
_atom_site_label
_atom_site_type_symbol
_atom_site_fract_x
_atom_site_fract_y
_atom_site_fract_z
Pm1 Pm 0.0849 0.2120 0.0000
Np1 Np 0.0000 0.5000 0.2500
Ir1 Ir 0.0000 0.0000 0.2500
Ir2 Ir 0.1485 0.3515 0.5000
```

Top 10 peaks for 10 to 90 degrees two-theta, sorted by position:
(hkl)  Position (°2θ)  Rel. int.
3 2 1  32.2  963
2 0 2  34.1  853
4 2 0  35.3  991
4 1 1  35.9  1000
2 2 2  37.7  633
4 0 2  44.1  521
5 2 1  45.6  354
7 1 0  57.3  476
6 4 2  67.3  394
4 2 4  74.0  292

=====

No. 10
The following is a computed PXRD pattern of Tb3Nd13. It was derived from DFT lattice parameters and positions (PBE), using Cu Ka.

Structure:
```
data_Tb3Nd13
_cell_length_a 7.3858
_cell_length_b 11.8368
_cell_length_c 12.7842
_cell_angle_alpha 90.00
_cell_angle_beta 90.00
_cell_angle_gamma 90.00
_symmetry_space_group_name_H-M 'A m m 2'
_symmetry_Int_Tables_number 38
_symmetry_space_group_name_Hall 'A 2 -2'
loop_
_atom_site_label
_atom_site_type_symbol
_atom_site_fract_x
_atom_site_fract_y
_atom_site_fract_z
Tb1 Tb 0.0000 0.0000 0.0000
Tb2 Tb 0.2495 0.0000 0.7525
Nd1 Nd 0.0000 0.0000 0.5027
Nd2 Nd 0.0000 0.2486 0.6681
Nd3 Nd 0.2490 0.2478 0.9182
Nd4 Nd 0.2496 0.0000 0.2506
Nd5 Nd 0.5000 0.0000 0.0002
Nd6 Nd 0.5000 0.0000 0.5020
Nd7 Nd 0.5000 0.2475 0.6685
```

Top 10 peaks for 10 to 90 degrees two-theta, sorted by position:
(hkl)  Position (°2θ)  Rel. int.
0 0 4  27.9  234
0 4 0  30.2  254
2 2 2  31.8  1000
0 4 4  41.6  160
4 0 0  49.4  195
2 6 2  54.7  216
4 4 0  59.0  229
0 2 8  59.9  164
4 2 8  81.3  137
4 8 0  83.8  85

=====

No. 11
The following is a computed PXRD pattern of Tb5Pm2Hg. It was derived from DFT lattice parameters and positions (PBE), using Cu Ka.

Structure:
```
data_Tb5Pm2Hg
_cell_length_a 6.9907
_cell_length_b 7.0053
_cell_length_c 7.0511
_cell_angle_alpha 119.73
_cell_angle_beta 119.70
_cell_angle_gamma 90.05
_symmetry_space_group_name_H-M 'P 1'
_symmetry_Int_Tables_number 1
_symmetry_space_group_name_Hall 'P 1'
loop_
_atom_site_label
_atom_site_type_symbol
_atom_site_fract_x
_atom_site_fract_y
_atom_site_fract_z
Tb1 Tb 0.0000 0.0000 0.0000
Tb2 Tb 0.0054 0.0024 0.5295
Tb3 Tb 0.5053 0.5032 0.0764
Tb4 Tb 0.5299 0.0057 0.0600
Tb5 Tb 0.9577 0.5013 0.9814
Pm1 Pm 0.0599 0.5027 0.5294
Pm2 Pm 0.4768 0.0017 0.5293
Hg1 Hg 0.5166 0.5021 0.5289
```

Top 10 peaks for 10 to 90 degrees two-theta, sorted by position:
(hkl)  Position (°2θ)  Rel. int.
2 1 -1  29.9  63
0 2 0  31.1  1000
0 0 2  35.7  168
2 -2 0  36.3  322
-2 2 2  51.9  208
0 4 -2  52.2  58
2 0 -4  61.4  79
2 -4 0  62.1  172
0 4 0  64.9  55
-2 4 2  84.7  59

=====

No. 12
The following is a computed PXRD pattern of Ba2Mg12Al3Hg. It was derived from DFT lattice parameters and positions (PBE), using Cu Ka.

Structure:
```
data_Ba2Mg12Al3Hg
_cell_length_a 10.2195
_cell_length_b 10.2195
_cell_length_c 20.1074
_cell_angle_alpha 90.00
_cell_angle_beta 90.00
_cell_angle_gamma 120.00
_symmetry_space_group_name_H-M 'R -3 m'
_symmetry_Int_Tables_number 166
_symmetry_space_group_name_Hall '-R 3 2"'
loop_
_atom_site_label
_atom_site_type_symbol
_atom_site_fract_x
_atom_site_fract_y
_atom_site_fract_z
Ba1 Ba 0.0000 0.0000 0.1026
Mg1 Mg 0.0117 0.5058 0.1347
Mg2 Mg 0.0812 0.5406 0.2965
Al1 Al 0.0000 0.5000 0.0000
Hg1 Hg 0.0000 0.0000 0.5000
```

Top 10 peaks for 10 to 90 degrees two-theta, sorted by position:
(hkl)  Position (°2θ)  Rel. int.
0 1 2  13.3  1000
1 1 0  17.4  936
1 1 3  21.9  989
0 1 5  24.3  568
1 2 2  28.1  459
2 0 5  30.0  640
0 3 3  33.2  352
1 2 5  34.9  478
2 2 0  35.1  741
3 1 5  43.2  384